1.
Cs3BiF6: calculated powder diffractogram (Cu Kα (λ = 1.5418 Å)), based on a cell relaxed with PBE.
Intensities are scaled so that the largest is 100.

Structure:
```
10
Lattice="7.6766 0.0000 0.0000 -1.7349 7.4918 0.0000 -1.7781 -2.1858 7.1938" Properties=species:S:1:pos:R:3 pbc="T T T"
Cs 0.0000 0.0000 0.0000
Cs -1.7565 2.6530 3.5969
Cs 2.9492 -1.0929 3.5969
Bi -0.8891 -1.0929 3.5969
F -1.3636 5.2051 2.1088
F 0.4976 0.6573 3.1027
F -1.2423 5.5295 5.1941
F 5.4058 -0.2236 1.9997
F 3.6659 4.6487 4.0911
F 5.5271 0.1009 5.0850
```

Largest 10 diffraction maxima, sorted by position, 15° ≤ 2θ ≤ 90°:
24.33 deg, intensity 54; 24.80 deg, intensity 100; 24.93 deg, intensity 49; 29.61 deg, intensity 66; 29.71 deg, intensity 33; 30.93 deg, intensity 29; 31.05 deg, intensity 28; 32.19 deg, intensity 44; 39.10 deg, intensity 47; 40.52 deg, intensity 34



2.
Cs3BiF6: calculated powder diffractogram (Cu Kα (λ = 1.5418 Å)), based on a cell relaxed with PBE.
Intensities are scaled so that the largest is 100.

Structure:
```
10
Lattice="0.0000 5.1066 5.1066 5.1066 0.0000 5.1066 5.1066 5.1066 0.0000" Properties=species:S:1:pos:R:3 pbc="T T T"
Cs 0.0000 0.0000 0.0000
Cs 2.5533 2.5533 2.5533
Cs 7.6599 7.6599 7.6599
Bi 5.1066 5.1066 5.1066
F 5.1066 5.1066 2.8282
F 5.1066 2.8282 5.1066
F 7.3849 5.1066 5.1066
F 2.8282 5.1066 5.1066
F 5.1066 7.3849 5.1066
F 5.1066 5.1066 7.3849
```

Largest 10 diffraction maxima, sorted by position, 15° ≤ 2θ ≤ 90°:
15.02 deg, intensity 6; 24.65 deg, intensity 100; 35.15 deg, intensity 32; 43.41 deg, intensity 44; 50.55 deg, intensity 21; 57.03 deg, intensity 21; 63.06 deg, intensity 7; 68.79 deg, intensity 24; 79.66 deg, intensity 12; 84.93 deg, intensity 9



3.
Cs2HgBiF6: calculated powder diffractogram (Cu Kα (λ = 1.5418 Å)), based on a cell relaxed with PBE.
Intensities are scaled so that the largest is 100.

Structure:
```
10
Lattice="0.0000 4.8966 4.8966 4.8966 0.0000 4.8966 4.8966 4.8966 0.0000" Properties=species:S:1:pos:R:3 pbc="T T T"
Cs 2.4483 2.4483 2.4483
Cs 7.3450 7.3450 7.3450
Hg 0.0000 0.0000 0.0000
Bi 4.8966 4.8966 4.8966
F 4.8966 4.8966 2.6301
F 4.8966 2.6301 4.8966
F 7.1632 4.8966 4.8966
F 2.6301 4.8966 4.8966
F 4.8966 7.1632 4.8966
F 4.8966 4.8966 7.1632
```

Largest 10 diffraction maxima, sorted by position, 15° ≤ 2θ ≤ 90°:
18.12 deg, intensity 10; 25.73 deg, intensity 100; 36.71 deg, intensity 31; 45.37 deg, intensity 44; 52.89 deg, intensity 21; 59.72 deg, intensity 21; 66.10 deg, intensity 7; 72.18 deg, intensity 24; 83.82 deg, intensity 12; 89.51 deg, intensity 9